Record 1
For U2Si3Pt4Au, a crystal structure in Alexandria, relaxed with GGA-PBE gives the calculated powder XRD pattern in this record (λ = 1.5418 Å (Cu Kα)).
Intensities are scaled so that the largest is 100.

Cell and atoms:
```
data_U2Si3Pt4Au
_chemical_formula_sum 'U2 Si3 Pt4 Au1'
_cell_length_a 4.0044
_cell_length_b 4.0044
_cell_length_c 11.2448
_cell_angle_alpha 90.00
_cell_angle_beta 90.00
_cell_angle_gamma 90.00
_space_group_name_H-M_alt 'P -4 m 2'
_space_group_IT_number 115
_space_group_name_Hall 'P -4 -2'
loop_
_atom_site_label
_atom_site_fract_x
_atom_site_fract_y
_atom_site_fract_z
U1 0.0000 0.5000 0.2454
Si1 0.0000 0.5000 0.8734
Si2 0.5000 0.5000 0.5000
Pt1 0.0000 0.0000 0.0000
Pt2 0.0000 0.5000 0.6655
Pt3 0.5000 0.5000 0.0000
Au1 0.0000 0.0000 0.5000
```

The 6 most intense peaks (10° ≤ 2θ ≤ 90°), sorted by position:
d [Å]  2theta  intensity  hkl
2.737  32.73  22  1 0 3
2.529  35.50  100  1 1 2
2.002  45.29  37  2 0 0
1.961  46.30  22  1 0 5
1.401  66.77  15  2 1 5
1.235  77.22  22  3 1 2

Record 2
For SrMg6Tl2, a crystal structure in Alexandria, relaxed with GGA-PBE gives the calculated powder XRD pattern in this record (λ = 1.5418 Å (Cu Kα)).
Intensities are scaled so that the largest is 100.

Cell and atoms:
```
data_SrMg6Tl2
_chemical_formula_sum 'Sr1 Mg6 Tl2'
_cell_length_a 4.6814
_cell_length_b 4.6814
_cell_length_c 10.8840
_cell_angle_alpha 90.00
_cell_angle_beta 90.00
_cell_angle_gamma 90.00
_space_group_name_H-M_alt 'P 4/m m m'
_space_group_IT_number 123
_space_group_name_Hall '-P 4 2'
loop_
_atom_site_label
_atom_site_fract_x
_atom_site_fract_y
_atom_site_fract_z
Sr1 0.0000 0.0000 0.0000
Mg1 0.0000 0.0000 0.5000
Mg2 0.0000 0.5000 0.3054
Mg3 0.5000 0.5000 0.5000
Tl1 0.5000 0.5000 0.1386
```

The 6 most intense peaks (10° ≤ 2θ ≤ 90°), sorted by position:
d [Å]  2theta  intensity  hkl
4.681  18.96  85  1 0 0
3.310  26.93  73  1 1 0
3.167  28.18  75  1 1 1
2.868  31.19  100  1 0 3
2.352  38.26  67  1 0 4
2.341  38.46  63  2 0 0